1.
Diffraction record for K2Pd3F8. The X-ray powder pattern is calculated, not measured: it uses the GGA-PBE geometry in Alexandria and Cu Kα (weighted mean of Kα1 and Kα2).
Lines closer than 0.1° are merged.

Structure:
a b c (Å): 7.1497 7.1497 5.8109
angles (deg): 107.39 107.39 57.08
Element x y z (fractional)
K1 0.2211 0.2211 0.1627
K2 0.7789 0.7789 0.8373
Pd1 0.2455 0.7545 0.5000
Pd2 0.5000 0.5000 0.0000
Pd3 0.7545 0.2455 0.5000
F1 0.1016 0.1016 0.4498
F2 0.1787 0.6170 0.1097
F3 0.3830 0.8213 0.8903
F4 0.4036 0.4036 0.5920
F5 0.5964 0.5964 0.4080
F6 0.6170 0.1787 0.1097
F7 0.8213 0.3830 0.8903
F8 0.8984 0.8984 0.5502

Largest 10 diffraction maxima, in order of rising 2θ, 10° ≤ 2θ ≤ 90°:
- 2θ 15.0, I = 100
- 2θ 24.0, I = 22
- 2θ 26.4, I = 17
- 2θ 30.2, I = 22
- 2θ 30.9, I = 18
- 2θ 31.9, I = 36
- 2θ 32.8, I = 17
- 2θ 39.5, I = 34
- 2θ 40.8, I = 17
- 2θ 47.8, I = 19


2.
Diffraction record for Sr3YBe2O6. The X-ray powder pattern is calculated, not measured: it uses the GGA-PBE geometry in Alexandria and Cu Kα (weighted mean of Kα1 and Kα2).
Lines closer than 0.1° are merged.

Structure:
a b c (Å): 5.6505 5.6505 6.8873
angles (deg): 90.00 90.00 120.00
Element x y z (fractional)
Sr1 0.0000 0.0000 0.0000
Sr2 0.3333 0.6667 0.6919
Sr3 0.6667 0.3333 0.3081
Y1 0.0000 0.0000 0.5000
Be1 0.3333 0.6667 0.2604
Be2 0.6667 0.3333 0.7396
O1 0.1766 0.3532 0.2913
O2 0.1766 0.8234 0.2913
O3 0.3532 0.1766 0.7087
O4 0.6468 0.8234 0.2913
O5 0.8234 0.1766 0.7087
O6 0.8234 0.6468 0.7087

Largest 10 diffraction maxima, in order of rising 2θ, 10° ≤ 2θ ≤ 90°:
- 2θ 12.9, I = 21
- 2θ 18.1, I = 27
- 2θ 22.3, I = 36
- 2θ 31.7, I = 86
- 2θ 31.8, I = 100
- 2θ 39.1, I = 40
- 2θ 45.5, I = 57
- 2θ 56.5, I = 51
- 2θ 66.1, I = 17
- 2θ 75.3, I = 17


3.
Diffraction record for CaLa11. The X-ray powder pattern is calculated, not measured: it uses the GGA-PBE geometry in Alexandria and Cu Kα (weighted mean of Kα1 and Kα2).
Lines closer than 0.1° are merged.

Structure:
a b c (Å): 11.8617 11.8617 3.6940
angles (deg): 90.00 90.00 120.00
Element x y z (fractional)
Ca1 0.0000 0.0000 0.0000
La1 0.0000 0.5000 0.0000
La2 0.1749 0.3499 0.5000
La3 0.1749 0.8251 0.5000
La4 0.3333 0.6667 0.0000
La5 0.3499 0.1749 0.5000
La6 0.5000 0.0000 0.0000
La7 0.5000 0.5000 0.0000
La8 0.6501 0.8251 0.5000
La9 0.6667 0.3333 0.0000
La10 0.8251 0.1749 0.5000
La11 0.8251 0.6501 0.5000

Largest 10 diffraction maxima, in order of rising 2θ, 10° ≤ 2θ ≤ 90°:
- 2θ 25.6, I = 13
- 2θ 28.5, I = 20
- 2θ 29.8, I = 47
- 2θ 30.1, I = 100
- 2θ 33.5, I = 28
- 2θ 42.9, I = 16
- 2θ 53.3, I = 17
- 2θ 53.5, I = 18
- 2θ 58.9, I = 31
- 2θ 75.8, I = 14


4.
Diffraction record for PrMg2In3. The X-ray powder pattern is calculated, not measured: it uses the GGA-PBE geometry in Alexandria and Cu Kα (weighted mean of Kα1 and Kα2).
Lines closer than 0.1° are merged.

Structure:
a b c (Å): 5.1501 5.1501 13.3785
angles (deg): 90.00 90.00 120.00
Element x y z (fractional)
Pr1 0.0000 0.0000 0.2500
Pr2 0.0000 0.0000 0.7500
Mg1 0.3333 0.6667 0.1077
Mg2 0.3333 0.6667 0.3923
Mg3 0.6667 0.3333 0.6077
Mg4 0.6667 0.3333 0.8923
In1 0.0000 0.0000 0.0000
In2 0.0000 0.0000 0.5000
In3 0.3333 0.6667 0.6342
In4 0.3333 0.6667 0.8658
In5 0.6667 0.3333 0.1342
In6 0.6667 0.3333 0.3658

Largest 10 diffraction maxima, in order of rising 2θ, 10° ≤ 2θ ≤ 90°:
- 2θ 19.9, I = 16
- 2θ 21.0, I = 31
- 2θ 33.5, I = 100
- 2θ 34.8, I = 85
- 2θ 39.3, I = 12
- 2θ 49.1, I = 33
- 2θ 61.6, I = 33
- 2θ 62.5, I = 15
- 2θ 66.7, I = 21
- 2θ 83.3, I = 14


5.
Diffraction record for Pr2TmZn2. The X-ray powder pattern is calculated, not measured: it uses the GGA-PBE geometry in Alexandria and Cu Kα (weighted mean of Kα1 and Kα2).
Lines closer than 0.1° are merged.

Structure:
a b c (Å): 4.7818 6.7393 8.2716
angles (deg): 90.00 90.00 90.00
Element x y z (fractional)
Pr1 0.0000 0.0000 0.1974
Pr2 0.0000 0.0000 0.8026
Pr3 0.5000 0.5000 0.3026
Pr4 0.5000 0.5000 0.6974
Tm1 0.0000 0.5000 0.0000
Tm2 0.5000 0.0000 0.5000
Zn1 0.0000 0.2922 0.5000
Zn2 0.0000 0.7078 0.5000
Zn3 0.5000 0.2078 0.0000
Zn4 0.5000 0.7922 0.0000

Largest 10 diffraction maxima, in order of rising 2θ, 10° ≤ 2θ ≤ 90°:
- 2θ 26.5, I = 23
- 2θ 31.5, I = 100
- 2θ 34.3, I = 71
- 2θ 35.2, I = 27
- 2θ 37.6, I = 37
- 2θ 50.0, I = 15
- 2θ 52.4, I = 18
- 2θ 52.5, I = 17
- 2θ 65.8, I = 32
- 2θ 66.4, I = 16


6.
Diffraction record for U2SiO10. The X-ray powder pattern is calculated, not measured: it uses the GGA-PBE geometry in Alexandria and Cu Kα (weighted mean of Kα1 and Kα2).
Lines closer than 0.1° are merged.

Structure:
a b c (Å): 10.5250 10.3434 7.0993
angles (deg): 71.50 68.74 39.77
Element x y z (fractional)
U1 0.0524 0.0524 0.6976
U2 0.3024 0.3024 0.9476
U3 0.6976 0.6976 0.0524
U4 0.9476 0.9476 0.3024
Si1 0.1250 0.1250 0.1250
Si2 0.8750 0.8750 0.8750
O1 0.0073 0.3593 0.0712
O2 0.0622 0.0712 0.3593
O3 0.0712 0.0622 0.0073
O4 0.1564 0.1564 0.5936
O5 0.2145 0.7005 0.2711
O6 0.2711 0.3139 0.2145
O7 0.2995 0.7855 0.6861
O8 0.3139 0.2711 0.7005
O9 0.3593 0.0073 0.0622
O10 0.4064 0.4064 0.8436
O11 0.5936 0.5936 0.1564
O12 0.6407 0.9927 0.9378
O13 0.6861 0.7289 0.2995
O14 0.7005 0.2145 0.3139
O15 0.7289 0.6861 0.7855
O16 0.7855 0.2995 0.7289
O17 0.8436 0.8436 0.4064
O18 0.9288 0.9378 0.9927
O19 0.9378 0.9288 0.6407
O20 0.9927 0.6407 0.9288

Largest 10 diffraction maxima, in order of rising 2θ, 10° ≤ 2θ ≤ 90°:
- 2θ 13.4, I = 90
- 2θ 19.2, I = 100
- 2θ 19.6, I = 36
- 2θ 20.8, I = 29
- 2θ 25.2, I = 85
- 2θ 27.4, I = 38
- 2θ 34.1, I = 25
- 2θ 34.8, I = 22
- 2θ 41.0, I = 20
- 2θ 51.4, I = 22